The following is a calculated powder diffraction line list of LaNiC2. It was derived from a cell relaxed with GGA-PBE, using Cu Kα X-rays.
Lines closer than 0.1° are merged.

Unit cell a=3.9776 b=4.5671 c=6.1429 alpha=90.00 beta=90.00 gamma=90.00
Element x y z (fractional)
La (0.0000, 0.0000, 0.0000)
La (0.0000, 0.5000, 0.5000)
Ni (0.5000, 0.0000, 0.6127)
Ni (0.5000, 0.5000, 0.1127)
C (0.5000, 0.1494, 0.3013)
C (0.5000, 0.3506, 0.8013)
C (0.5000, 0.6494, 0.8013)
C (0.5000, 0.8506, 0.3013)

Top 6 peaks for 10 to 80 degrees two-theta, by angle:
24.3°, I = 23, hkl 0 1 1; 29.1°, I = 18, hkl 0 0 2; 33.2°, I = 100, hkl 1 1 1; 37.0°, I = 23, hkl 1 0 2; 39.5°, I = 16, hkl 0 2 0; 48.7°, I = 16, hkl 0 1 3

=====

The following is a calculated powder diffraction line list of LaCO4. It was derived from a cell relaxed with GGA-PBE, using Cu Kα X-rays.
Lines closer than 0.1° are merged.

Unit cell a=5.0820 b=7.5841 c=8.7838 alpha=90.00 beta=90.00 gamma=90.00
Element x y z (fractional)
La (0.0130, 0.1126, 0.3326)
La (0.4870, 0.8874, 0.8326)
La (0.5130, 0.3874, 0.6674)
La (0.9870, 0.6126, 0.1674)
C (0.0045, 0.0476, 0.6721)
C (0.4955, 0.9524, 0.1721)
C (0.5045, 0.4524, 0.3279)
C (0.9955, 0.5476, 0.8279)
O (0.0068, 0.7999, 0.3826)
O (0.0135, 0.4498, 0.7084)
O (0.2034, 0.6018, 0.8996)
O (0.2372, 0.0877, 0.6185)
O (0.2628, 0.9123, 0.1185)
O (0.2966, 0.3982, 0.3996)
O (0.4865, 0.5502, 0.2084)
O (0.4932, 0.2001, 0.8826)
O (0.5068, 0.7001, 0.6174)
O (0.5135, 0.0502, 0.2916)
O (0.7034, 0.8982, 0.1004)
O (0.7372, 0.4123, 0.3815)
O (0.7628, 0.5877, 0.8815)
O (0.7966, 0.1018, 0.6004)
O (0.9865, 0.9498, 0.7916)
O (0.9932, 0.2999, 0.1174)

Top 6 peaks for 10 to 80 degrees two-theta, by angle:
20.2°, I = 100, hkl 1 0 1; 23.4°, I = 68, hkl 0 1 2; 25.6°, I = 38, hkl 0 2 1; 29.4°, I = 65, hkl 1 2 0; 37.4°, I = 37, hkl 1 1 3; 42.8°, I = 42, hkl 2 1 2

=====

Please write out number 2 again, unchanged.
The following is a calculated powder diffraction line list of LaCO4. It was derived from a cell relaxed with GGA-PBE, using Cu Kα X-rays.
Lines closer than 0.1° are merged.

Unit cell a=5.0820 b=7.5841 c=8.7838 alpha=90.00 beta=90.00 gamma=90.00
Element x y z (fractional)
La (0.0130, 0.1126, 0.3326)
La (0.4870, 0.8874, 0.8326)
La (0.5130, 0.3874, 0.6674)
La (0.9870, 0.6126, 0.1674)
C (0.0045, 0.0476, 0.6721)
C (0.4955, 0.9524, 0.1721)
C (0.5045, 0.4524, 0.3279)
C (0.9955, 0.5476, 0.8279)
O (0.0068, 0.7999, 0.3826)
O (0.0135, 0.4498, 0.7084)
O (0.2034, 0.6018, 0.8996)
O (0.2372, 0.0877, 0.6185)
O (0.2628, 0.9123, 0.1185)
O (0.2966, 0.3982, 0.3996)
O (0.4865, 0.5502, 0.2084)
O (0.4932, 0.2001, 0.8826)
O (0.5068, 0.7001, 0.6174)
O (0.5135, 0.0502, 0.2916)
O (0.7034, 0.8982, 0.1004)
O (0.7372, 0.4123, 0.3815)
O (0.7628, 0.5877, 0.8815)
O (0.7966, 0.1018, 0.6004)
O (0.9865, 0.9498, 0.7916)
O (0.9932, 0.2999, 0.1174)

Top 6 peaks for 10 to 80 degrees two-theta, by angle:
20.2°, I = 100, hkl 1 0 1; 23.4°, I = 68, hkl 0 1 2; 25.6°, I = 38, hkl 0 2 1; 29.4°, I = 65, hkl 1 2 0; 37.4°, I = 37, hkl 1 1 3; 42.8°, I = 42, hkl 2 1 2